No. 1
For Na2MnP2O7, the GGA+U geometry in the Materials Project gives the simulated powder X-ray diffraction pattern in this record (a wavelength of 1.5418 Å).

Structure:
```
data_Na2MnP2O7
_space_group_name_H-M_alt 'P 1'
_space_group_IT_number 1
_space_group_name_Hall 'P 1'
_cell_length_a 6.689
_cell_length_b 9.687
_cell_length_c 11.208
_cell_angle_alpha 64.86
_cell_angle_beta 86.00
_cell_angle_gamma 73.20
loop_
_atom_site_label
_atom_site_type_symbol
_atom_site_fract_x
_atom_site_fract_y
_atom_site_fract_z
Na1 Na 0.000 0.000 0.000
Na2 Na 0.009 0.623 0.321
Na3 Na 0.191 0.345 0.633
Na4 Na 0.349 0.630 0.839
Na5 Na 0.454 0.967 0.928
Na6 Na 0.559 0.660 0.502
Na7 Na 0.623 0.303 0.452
Na8 Na 0.771 0.336 0.079
Mn1 Mn 0.245 0.973 0.249
Mn2 Mn 0.318 0.372 0.197
Mn3 Mn 0.861 0.589 0.763
Mn4 Mn 0.939 0.988 0.710
P1 P 0.010 0.775 0.522
P2 P 0.163 0.186 0.438
P3 P 0.299 0.287 0.936
P4 P 0.458 0.940 0.665
P5 P 0.532 0.654 0.193
P6 P 0.659 0.306 0.767
P7 P 0.721 0.022 0.293
P8 P 0.893 0.672 0.020
O1 O 0.036 0.776 0.657
O2 O 0.048 0.570 0.139
O3 O 0.147 0.187 0.301
O4 O 0.156 0.402 0.813
O5 O 0.201 0.780 0.439
O6 O 0.226 0.142 0.026
O7 O 0.236 0.330 0.423
O8 O 0.280 0.952 0.760
O9 O 0.329 0.791 0.168
O10 O 0.351 0.026 0.516
O11 O 0.359 0.375 0.008
O12 O 0.508 0.527 0.153
O13 O 0.516 0.206 0.881
O14 O 0.538 0.382 0.634
O15 O 0.559 0.767 0.685
O16 O 0.569 0.934 0.288
O17 O 0.609 0.029 0.672
O18 O 0.619 0.195 0.273
O19 O 0.648 0.584 0.326
O20 O 0.680 0.749 0.078
O21 O 0.684 0.427 0.815
O22 O 0.825 0.936 0.444
O23 O 0.838 0.576 0.956
O24 O 0.864 0.176 0.783
O25 O 0.904 0.011 0.202
O26 O 0.930 0.631 0.543
O27 O 0.952 0.819 0.920
O28 O 0.971 0.172 0.518
```

Largest 10 diffraction maxima, by angle, 2θ = 15–90°:
two_theta, I/Imax, h k l
16.85, 52, 1 0 1
19.72, 54, 1 -1 0
21.73, 47, 1 2 0
22.26, 73, 1 2 2
29.17, 100, 0 3 2
29.84, 75, 2 0 1
31.47, 81, 1 3 3
31.96, 67, 0 3 0
32.21, 55, -2 1 1
33.25, 76, 2 2 -1

***

No. 2
For NaMn2P2O9, the GGA+U geometry in the Materials Project gives the simulated powder X-ray diffraction pattern in this record (a wavelength of 1.5418 Å).

Structure:
```
data_NaMn2P2O9
_space_group_name_H-M_alt 'P n m a'
_space_group_IT_number 62
_space_group_name_Hall '-P 2ac 2n'
_cell_length_a 14.076
_cell_length_b 6.424
_cell_length_c 7.499
_cell_angle_alpha 90.00
_cell_angle_beta 90.00
_cell_angle_gamma 90.00
loop_
_atom_site_label
_atom_site_type_symbol
_atom_site_fract_x
_atom_site_fract_y
_atom_site_fract_z
Na1 Na 0.217 0.250 0.102
Mn1 Mn 0.000 0.000 0.000
Mn2 Mn 0.123 0.250 0.646
P1 P 0.066 0.750 0.631
P2 P 0.190 0.750 0.101
O1 O 0.006 0.250 0.519
O2 O 0.015 0.750 0.818
O3 O 0.054 0.250 0.872
O4 O 0.127 0.553 0.096
O5 O 0.133 0.560 0.624
O6 O 0.231 0.250 0.456
O7 O 0.246 0.250 0.772
```

Largest 10 diffraction maxima, by angle, 2θ = 15–90°:
two_theta, I/Imax, h k l
17.28, 49, 2 0 1
19.25, 22, 1 1 1
24.57, 100, 1 0 2
27.77, 31, 0 2 0
30.55, 31, 3 0 2
30.95, 53, 1 2 1
34.02, 27, 5 0 1
35.94, 20, 3 2 1
55.55, 21, 4 0 4
57.00, 22, 5 2 3

***

No. 3
For NaMnP2O7, the GGA+U geometry in the Materials Project gives the simulated powder X-ray diffraction pattern in this record (a wavelength of 1.5418 Å).

Structure:
```
data_NaMnP2O7
_space_group_name_H-M_alt 'P -1'
_space_group_IT_number 2
_space_group_name_Hall '-P 1'
_cell_length_a 6.418
_cell_length_b 6.654
_cell_length_c 6.784
_cell_angle_alpha 87.70
_cell_angle_beta 82.38
_cell_angle_gamma 66.30
loop_
_atom_site_label
_atom_site_type_symbol
_atom_site_fract_x
_atom_site_fract_y
_atom_site_fract_z
Na1 Na 0.218 0.321 0.136
Mn1 Mn 0.402 0.719 0.347
P1 P 0.150 0.150 0.620
P2 P 0.281 0.736 0.871
O1 O 0.101 0.686 0.385
O2 O 0.115 0.639 0.944
O3 O 0.136 0.975 0.782
O4 O 0.253 0.030 0.416
O5 O 0.294 0.266 0.682
O6 O 0.413 0.775 0.027
O7 O 0.455 0.610 0.683
```

Largest 10 diffraction maxima, by angle, 2θ = 15–90°:
two_theta, I/Imax, h k l
15.20, 16, 1 0 0
16.30, 74, 1 1 0
19.52, 44, 0 1 -1
28.16, 57, 2 1 0
29.34, 99, 0 2 0
29.54, 71, 2 1 1
30.18, 100, 0 1 -2
30.56, 90, 0 1 2
35.09, 16, 2 0 -1
38.43, 22, 1 -2 0

***

No. 4
For NaMnP3O9, the GGA+U geometry in the Materials Project gives the simulated powder X-ray diffraction pattern in this record (a wavelength of 1.5418 Å).

Structure:
```
data_NaMnP3O9
_space_group_name_H-M_alt 'P 21 21 21'
_space_group_IT_number 19
_space_group_name_Hall 'P 2ac 2ab'
_cell_length_a 8.793
_cell_length_b 8.827
_cell_length_c 9.063
_cell_angle_alpha 90.00
_cell_angle_beta 90.00
_cell_angle_gamma 90.00
loop_
_atom_site_label
_atom_site_type_symbol
_atom_site_fract_x
_atom_site_fract_y
_atom_site_fract_z
Na1 Na 0.152 0.132 0.393
Mn1 Mn 0.127 0.856 0.163
P1 P 0.032 0.324 0.688
P2 P 0.195 0.478 0.190
P3 P 0.197 0.807 0.562
O1 O 0.041 0.781 0.655
O2 O 0.088 0.875 0.919
O3 O 0.106 0.610 0.130
O4 O 0.123 0.389 0.313
O5 O 0.133 0.196 0.639
O6 O 0.138 0.466 0.740
O7 O 0.153 0.852 0.408
O8 O 0.197 0.092 0.147
O9 O 0.236 0.364 0.055
```

Largest 10 diffraction maxima, by angle, 2θ = 15–90°:
two_theta, I/Imax, h k l
19.59, 28, 0 0 2
20.17, 24, 2 0 0
22.07, 100, 1 0 2
22.55, 91, 1 2 0
24.29, 33, 1 1 2
24.64, 69, 2 1 1
31.29, 46, 0 1 3
32.07, 68, 1 3 0
32.10, 55, 3 0 1
33.70, 24, 3 1 1

***

No. 5
For Na2MnP2O7, the GGA+U geometry in the Materials Project gives the simulated powder X-ray diffraction pattern in this record (a wavelength of 1.5418 Å).

Structure:
```
data_Na2MnP2O7
_space_group_name_H-M_alt 'P -1'
_space_group_IT_number 2
_space_group_name_Hall '-P 1'
_cell_length_a 5.388
_cell_length_b 6.678
_cell_length_c 9.545
_cell_angle_alpha 109.84
_cell_angle_beta 95.26
_cell_angle_gamma 106.21
loop_
_atom_site_label
_atom_site_type_symbol
_atom_site_fract_x
_atom_site_fract_y
_atom_site_fract_z
Na1 Na 0.126 0.283 0.034
Na2 Na 0.349 0.642 0.730
Mn1 Mn 0.089 0.100 0.363
P1 P 0.256 0.662 0.389
P2 P 0.431 0.830 0.135
O1 O 0.068 0.802 0.421
O2 O 0.100 0.408 0.331
O3 O 0.268 0.990 0.168
O4 O 0.271 0.047 0.821
O5 O 0.333 0.651 0.974
O6 O 0.371 0.678 0.240
O7 O 0.488 0.738 0.519
```

Largest 10 diffraction maxima, by angle, 2θ = 15–90°:
two_theta, I/Imax, h k l
22.00, 99, 1 0 1
26.68, 29, 1 1 0
29.22, 100, 0 2 -2
29.48, 69, 1 -2 0
31.82, 36, 1 1 1
32.00, 94, 1 0 -3
33.58, 58, 2 -1 0
33.75, 33, -1 2 1
44.88, 30, 2 0 2
49.45, 25, 0 1 4